Computed PXRD pattern
Compound: Nd3CuAu
Radiation: Cu Kα (λ = 1.5418 Å)
Structure: a cell relaxed with PBE

Structure:
```
data_Nd3CuAu
_cell_length_a 4.0038
_cell_length_b 8.4449
_cell_length_c 8.4546
_cell_angle_alpha 95.64
_cell_angle_beta 90.02
_cell_angle_gamma 103.69
_symmetry_space_group_name_H-M 'P -1'
_symmetry_Int_Tables_number 2
loop_
_symmetry_equiv_pos_as_xyz
'x,y,z'
'-x,-y,-z'
loop_
_atom_site_label
_atom_site_type_symbol
_atom_site_fract_x
_atom_site_fract_y
_atom_site_fract_z
Nd1 Nd 0.0575 0.1141 0.3102
Nd2 Nd 0.2382 0.4760 0.6868
Nd3 Nd 0.4009 0.8032 0.0491
Cu1 Cu 0.2174 0.4335 0.0621
Au1 Au 0.4057 0.8114 0.4192
```

Largest 12 diffraction maxima, sorted by position, 10 to 90 degrees two-theta:
2θ/deg	Rel. int.
28.9	40
29.1	66
30.3	100
31.7	64
31.9	35
32.9	68
34.0	43
35.5	69
36.1	36
39.2	36
45.3	49
53.6	34

Computed PXRD pattern
Compound: Er2Ni12As7
Radiation: Cu Kα (λ = 1.5418 Å)
Structure: a cell relaxed with PBE

Structure:
```
data_Er2Ni12As7
_cell_length_a 9.4017
_cell_length_b 9.4017
_cell_length_c 3.8190
_cell_angle_alpha 90.00
_cell_angle_beta 90.00
_cell_angle_gamma 120.00
_symmetry_space_group_name_H-M 'P -3'
_symmetry_Int_Tables_number 147
loop_
_symmetry_equiv_pos_as_xyz
'x,y,z'
'-x,-y,-z'
'-y,x-y,z'
'y,-x+y,-z'
'-x+y,-x,z'
'x-y,x,-z'
loop_
_atom_site_label
_atom_site_type_symbol
_atom_site_fract_x
_atom_site_fract_y
_atom_site_fract_z
Er1 Er 0.3333 0.6667 0.2483
Ni1 Ni 0.0567 0.4341 0.7492
Ni2 Ni 0.1180 0.2584 0.2333
As1 As 0.0000 0.0000 0.5000
As2 As 0.1143 0.7060 0.7458
```

Largest 12 diffraction maxima, sorted by position, 10 to 90 degrees two-theta:
2θ/deg	Rel. int.
32.1	13
33.0	11
37.5	100
38.3	10
40.8	10
44.5	8
46.7	14
47.6	19
51.4	25
54.7	14
72.7	12
81.9	11

Computed PXRD pattern
Compound: LiAl4Pd2
Radiation: Cu Kα (λ = 1.5418 Å)
Structure: a cell relaxed with PBE

Structure:
```
data_LiAl4Pd2
_cell_length_a 5.4661
_cell_length_b 7.1329
_cell_length_c 7.1800
_cell_angle_alpha 114.53
_cell_angle_beta 106.46
_cell_angle_gamma 100.57
_symmetry_space_group_name_H-M 'P 1'
_symmetry_Int_Tables_number 1
loop_
_symmetry_equiv_pos_as_xyz
'x,y,z'
loop_
_atom_site_label
_atom_site_type_symbol
_atom_site_fract_x
_atom_site_fract_y
_atom_site_fract_z
Li1 Li 0.0000 0.0000 0.0000
Li2 Li 0.3309 0.8345 0.6612
Al1 Al 0.1119 0.6023 0.8506
Al2 Al 0.3289 0.5280 0.2023
Al3 Al 0.4517 0.1536 0.4547
Al4 Al 0.5744 0.2135 0.1041
Al5 Al 0.5901 0.5800 0.8082
Al6 Al 0.8030 0.9382 0.5560
Al7 Al 0.8943 0.6546 0.2218
Al8 Al 0.9933 0.2560 0.4347
Pd1 Pd 0.2761 0.2424 0.7811
Pd2 Pd 0.5663 0.8801 0.1481
Pd3 Pd 0.7495 0.5598 0.5079
Pd4 Pd 0.8234 0.2897 0.8749
```

Largest 12 diffraction maxima, sorted by position, 10 to 90 degrees two-theta:
2θ/deg	Rel. int.
14.5	57
14.8	79
18.0	64
18.2	65
24.1	100
25.4	99
25.5	79
25.9	78
40.5	49
41.2	73
44.6	50
45.3	48

Computed PXRD pattern
Compound: CaMg2TlCd2
Radiation: Cu Kα (λ = 1.5418 Å)
Structure: a cell relaxed with PBE

Structure:
```
data_CaMg2TlCd2
_cell_length_a 5.1460
_cell_length_b 5.1460
_cell_length_c 6.4734
_cell_angle_alpha 90.00
_cell_angle_beta 90.00
_cell_angle_gamma 120.00
_symmetry_space_group_name_H-M 'P -3 m 1'
_symmetry_Int_Tables_number 164
_symmetry_space_group_name_Hall '-P 3 2"'
loop_
_atom_site_label
_atom_site_type_symbol
_atom_site_fract_x
_atom_site_fract_y
_atom_site_fract_z
Ca1 Ca 0.0000 0.0000 0.0000
Mg1 Mg 0.3333 0.6667 0.6902
Tl1 Tl 0.0000 0.0000 0.5000
Cd1 Cd 0.3333 0.6667 0.1935
```

Largest 12 diffraction maxima, sorted by position, 10 to 90 degrees two-theta:
2θ/deg	Rel. int.
19.9	13
24.2	91
34.2	100
34.9	89
42.9	21
49.7	34
55.6	17
56.4	19
60.9	13
62.1	35
62.5	16
83.8	15

Computed PXRD pattern
Compound: Ce3SnOs2
Radiation: Cu Kα (λ = 1.5418 Å)
Structure: a cell relaxed with PBE

Structure:
```
data_Ce3SnOs2
_cell_length_a 15.3076
_cell_length_b 4.6425
_cell_length_c 8.6703
_cell_angle_alpha 90.00
_cell_angle_beta 109.38
_cell_angle_gamma 90.00
_symmetry_space_group_name_H-M 'C 1 2/m 1'
_symmetry_Int_Tables_number 12
loop_
_symmetry_equiv_pos_as_xyz
'x,y,z'
'-x,-y,-z'
'-x,y,-z'
'x,-y,z'
'x+1/2,y+1/2,z'
'-x+1/2,-y+1/2,-z'
'-x+1/2,y+1/2,-z'
'x+1/2,-y+1/2,z'
loop_
_atom_site_label
_atom_site_type_symbol
_atom_site_fract_x
_atom_site_fract_y
_atom_site_fract_z
Ce1 Ce 0.0722 0.0000 0.2051
Ce2 Ce 0.1039 0.5000 0.8666
Ce3 Ce 0.2444 0.0000 0.7196
Sn1 Sn 0.1010 0.5000 0.4792
Os1 Os 0.0576 0.0000 0.6496
Os2 Os 0.1890 0.0000 0.0436
```

Largest 12 diffraction maxima, sorted by position, 10 to 90 degrees two-theta:
2θ/deg	Rel. int.
13.4	67
20.1	29
31.2	59
31.3	100
36.5	53
36.9	59
37.1	69
37.4	62
38.5	41
38.8	84
41.3	29
54.3	34

Computed PXRD pattern
Compound: Y2RhBr
Radiation: Cu Kα (λ = 1.5418 Å)
Structure: a cell relaxed with PBE

Structure:
```
data_Y2RhBr
_cell_length_a 7.0444
_cell_length_b 4.0671
_cell_length_c 7.9704
_cell_angle_alpha 90.00
_cell_angle_beta 90.36
_cell_angle_gamma 90.00
_symmetry_space_group_name_H-M 'C 1 m 1'
_symmetry_Int_Tables_number 8
loop_
_symmetry_equiv_pos_as_xyz
'x,y,z'
'x,-y,z'
'x+1/2,y+1/2,z'
'x+1/2,-y+1/2,z'
loop_
_atom_site_label
_atom_site_type_symbol
_atom_site_fract_x
_atom_site_fract_y
_atom_site_fract_z
Y1 Y 0.0000 0.0000 0.0000
Y2 Y 0.1692 0.5000 0.3653
Rh1 Rh 0.3344 0.0000 0.1746
Br1 Br 0.0041 0.0000 0.6266
```

Largest 12 diffraction maxima, sorted by position, 10 to 90 degrees two-theta:
2θ/deg	Rel. int.
11.1	78
25.3	18
27.7	100
27.8	49
33.9	91
34.1	45
42.5	34
42.7	56
44.6	89
53.3	16
57.3	22
63.3	15